Starting from a structure optimized by DFT (GGA-PBE), the X-ray powder pattern of Mg14VB was calculated for Cu Kα (weighted mean of Kα1 and Kα2).
Neutral-atom scattering factors, no anomalous dispersion.

Structural model:
abc: 6.219 6.219 9.977
angles: 90.00 90.00 120.00
Atoms (fractional coordinates):
Mg 0.000 0.000 0.248
Mg 0.000 0.000 0.752
Mg 0.015 0.508 0.257
Mg 0.015 0.508 0.743
Mg 0.331 0.165 0.500
Mg 0.337 0.169 0.000
Mg 0.492 0.508 0.257
Mg 0.492 0.508 0.743
Mg 0.492 0.985 0.257
Mg 0.492 0.985 0.743
Mg 0.831 0.169 0.000
Mg 0.831 0.663 0.000
Mg 0.835 0.165 0.500
Mg 0.835 0.669 0.500
V 0.333 0.667 0.000
B 0.333 0.667 0.500

Principal peaks in the range 5° ≤ 2θ ≤ 70°, most intense first:
37.97 deg, rel. 100
36.01 deg, rel. 26
33.27 deg, rel. 24
66.03 deg, rel. 18
59.46 deg, rel. 17
49.83 deg, rel. 15
18.72 deg, rel. 8
8.86 deg, rel. 5
31.62 deg, rel. 3
30.10 deg, rel. 3

=====

Starting from a structure optimized by DFT (GGA-PBE), the X-ray powder pattern of Mg6BW was calculated for Cu Kα (weighted mean of Kα1 and Kα2).
Neutral-atom scattering factors, no anomalous dispersion.

Structural model:
abc: 4.509 6.441 6.441
angles: 54.79 90.00 90.00
Atoms (fractional coordinates):
Mg 0.000 0.000 0.000
Mg 0.000 0.498 0.972
Mg 0.000 0.972 0.498
Mg 0.500 0.152 0.152
Mg 0.500 0.160 0.642
Mg 0.500 0.642 0.160
B 0.000 0.566 0.566
W 0.500 0.615 0.615

Principal peaks in the range 5° ≤ 2θ ≤ 70°, most intense first:
16.85 deg, rel. 100
26.02 deg, rel. 90
15.50 deg, rel. 81
39.66 deg, rel. 79
37.24 deg, rel. 62
34.07 deg, rel. 56
19.69 deg, rel. 46
27.83 deg, rel. 43
25.15 deg, rel. 38
34.32 deg, rel. 34